Theoretical X-ray diffraction stick pattern of SrLaB6C6 for copper Kα, from a cell relaxed with GGA-PBE.
Neutral-atom scattering factors, no anomalous dispersion.

The 10 most intense peaks (10° ≤ 2θ ≤ 90°), sorted by position:
2θ (°)  d [Å]  I_rel
18.12  4.896  8
25.73  3.462  100
36.71  2.448  40
45.37  1.999  86
52.89  1.731  15
59.72  1.548  22
72.19  1.309  41
78.07  1.224  6
83.83  1.154  13
89.52  1.095  12

Crystal structure
```
data_SrLaB6C6
_space_group_name_H-M_alt 'P m -3'
_space_group_IT_number 200
_space_group_name_Hall '-P 2 2 3'
_cell_length_a 4.896
_cell_length_b 4.896
_cell_length_c 4.896
_cell_angle_alpha 90.00
_cell_angle_beta 90.00
_cell_angle_gamma 90.00
loop_
_atom_site_label
_atom_site_fract_x
_atom_site_fract_y
_atom_site_fract_z
Sr1 0.000 0.000 0.000
La1 0.500 0.500 0.500
B1 0.000 0.248 0.500
C1 0.000 0.500 0.252
```

=====

Theoretical X-ray diffraction stick pattern of Li5B8C8 for copper Kα, from a cell relaxed with GGA-PBE.
Neutral-atom scattering factors, no anomalous dispersion.

The 10 most intense peaks (10° ≤ 2θ ≤ 90°), sorted by position:
2θ (°)  d [Å]  I_rel
12.11  7.309  19
24.36  3.654  100
38.37  2.346  6
45.52  1.993  8
45.84  1.979  13
46.07  1.970  22
49.91  1.827  15
69.07  1.360  10
69.53  1.352  5
89.40  1.096  5

Crystal structure
```
data_Li5B8C8
_space_group_name_H-M_alt 'C 1 2/m 1'
_space_group_IT_number 12
_cell_length_a 15.412
_cell_length_b 2.704
_cell_length_c 9.440
_cell_angle_alpha 90.00
_cell_angle_beta 108.48
_cell_angle_gamma 90.00
loop_
_space_group_symop_operation_xyz
'x,y,z'
'-x,-y,-z'
'-x,y,-z'
'x,-y,z'
'x+1/2,y+1/2,z'
'-x+1/2,-y+1/2,-z'
'-x+1/2,y+1/2,-z'
'x+1/2,-y+1/2,z'
loop_
_atom_site_label
_atom_site_fract_x
_atom_site_fract_y
_atom_site_fract_z
Li1 0.000 0.000 0.000
Li2 0.250 0.000 0.125
Li3 0.250 0.000 0.625
B1 0.126 0.000 0.395
B2 0.126 0.000 0.894
B3 0.128 0.500 0.148
B4 0.128 0.500 0.645
C1 0.127 0.500 0.981
C2 0.130 0.000 0.232
C3 0.131 0.500 0.483
C4 0.132 0.000 0.733
```

=====

Theoretical X-ray diffraction stick pattern of LiB4C4 for copper Kα, from a cell relaxed with GGA-PBE.
Neutral-atom scattering factors, no anomalous dispersion.

The 10 most intense peaks (10° ≤ 2θ ≤ 90°), sorted by position:
2θ (°)  d [Å]  I_rel
15.19  5.831  100
26.75  3.332  6
30.66  2.916  12
38.03  2.366  6
38.44  2.342  7
38.70  2.327  3
40.32  2.237  3
43.72  2.070  5
46.71  1.944  15
68.81  1.364  4

Crystal structure
```
data_LiB4C4
_space_group_name_H-M_alt 'P -1'
_space_group_IT_number 2
_cell_length_a 4.740
_cell_length_b 5.405
_cell_length_c 6.505
_cell_angle_alpha 71.69
_cell_angle_beta 71.77
_cell_angle_gamma 89.96
loop_
_space_group_symop_operation_xyz
'x,y,z'
'-x,-y,-z'
loop_
_atom_site_label
_atom_site_fract_x
_atom_site_fract_y
_atom_site_fract_z
Li1 0.233 0.188 0.472
B1 0.055 0.746 0.184
B2 0.076 0.243 0.140
B3 0.422 0.485 0.857
B4 0.461 0.019 0.799
C1 0.205 0.975 0.229
C2 0.246 0.517 0.126
C3 0.261 0.748 0.866
C4 0.278 0.260 0.810
```

=====

Theoretical X-ray diffraction stick pattern of LiB4C4 for copper Kα, from a cell relaxed with GGA-PBE.
Neutral-atom scattering factors, no anomalous dispersion.

The 10 most intense peaks (10° ≤ 2θ ≤ 90°), sorted by position:
2θ (°)  d [Å]  I_rel
12.37  7.158  100
13.91  6.368  7
17.48  5.074  18
24.56  3.624  9
24.88  3.579  22
37.70  2.386  7
38.67  2.328  5
40.19  2.244  7
47.53  1.913  4
70.59  1.334  5

Crystal structure
```
data_LiB4C4
_space_group_name_H-M_alt 'C 1 m 1'
_space_group_IT_number 8
_cell_length_a 14.708
_cell_length_b 2.694
_cell_length_c 9.289
_cell_angle_alpha 90.00
_cell_angle_beta 103.26
_cell_angle_gamma 90.00
loop_
_space_group_symop_operation_xyz
'x,y,z'
'x,-y,z'
'x+1/2,y+1/2,z'
'x+1/2,-y+1/2,z'
loop_
_atom_site_label
_atom_site_fract_x
_atom_site_fract_y
_atom_site_fract_z
Li1 0.000 0.000 0.000
Li2 0.237 0.000 0.031
B1 0.057 0.500 0.578
B2 0.085 0.000 0.331
B3 0.100 0.000 0.843
B4 0.126 0.500 0.105
B5 0.373 0.000 0.896
B6 0.402 0.500 0.157
B7 0.419 0.500 0.669
B8 0.447 0.000 0.422
C1 0.068 0.000 0.670
C2 0.068 0.500 0.410
C3 0.117 0.500 0.933
C4 0.121 0.000 0.188
C5 0.382 0.500 0.811
C6 0.387 0.000 0.066
C7 0.435 0.500 0.330
C8 0.436 0.000 0.590
```

=====

Theoretical X-ray diffraction stick pattern of LiB2C2 for copper Kα, from a cell relaxed with GGA-PBE.
Neutral-atom scattering factors, no anomalous dispersion.

The 10 most intense peaks (10° ≤ 2θ ≤ 90°), sorted by position:
2θ (°)  d [Å]  I_rel
12.24  7.231  6
24.62  3.615  100
38.47  2.340  8
45.97  1.974  5
46.16  1.966  19
46.26  1.962  11
50.49  1.808  13
69.37  1.355  9
69.69  1.349  4
74.97  1.267  3

Crystal structure
```
data_LiB2C2
_space_group_name_H-M_alt 'C 1 2 1'
_space_group_IT_number 5
_cell_length_a 9.398
_cell_length_b 5.397
_cell_length_c 8.605
_cell_angle_alpha 90.00
_cell_angle_beta 122.83
_cell_angle_gamma 90.00
loop_
_space_group_symop_operation_xyz
'x,y,z'
'-x,y,-z'
'x+1/2,y+1/2,z'
'-x+1/2,y+1/2,-z'
loop_
_atom_site_label
_atom_site_fract_x
_atom_site_fract_y
_atom_site_fract_z
Li1 0.000 0.000 0.000
Li2 0.000 0.238 0.500
Li3 0.249 0.755 0.999
B1 0.038 0.258 0.242
B2 0.043 0.756 0.255
B3 0.205 0.508 0.739
B4 0.217 0.005 0.761
C1 0.041 0.506 0.744
C2 0.053 0.006 0.768
C3 0.202 0.256 0.242
C4 0.208 0.756 0.252
```

=====

Theoretical X-ray diffraction stick pattern of Li5B8C8 for copper Kα, from a cell relaxed with GGA-PBE.
Neutral-atom scattering factors, no anomalous dispersion.

The 10 most intense peaks (10° ≤ 2θ ≤ 90°), sorted by position:
2θ (°)  d [Å]  I_rel
24.61  3.618  100
38.22  2.355  6
45.74  1.984  13
45.88  1.978  8
46.24  1.963  14
46.86  1.939  7
50.45  1.809  15
68.80  1.365  5
69.69  1.349  9
89.86  1.092  5

Crystal structure
```
data_Li5B8C8
_space_group_name_H-M_alt 'C 1 2/m 1'
_space_group_IT_number 12
_cell_length_a 9.316
_cell_length_b 5.458
_cell_length_c 8.520
_cell_angle_alpha 90.00
_cell_angle_beta 121.87
_cell_angle_gamma 90.00
loop_
_space_group_symop_operation_xyz
'x,y,z'
'-x,-y,-z'
'-x,y,-z'
'x,-y,z'
'x+1/2,y+1/2,z'
'-x+1/2,-y+1/2,-z'
'-x+1/2,y+1/2,-z'
'x+1/2,-y+1/2,z'
loop_
_atom_site_label
_atom_site_fract_x
_atom_site_fract_y
_atom_site_fract_z
Li1 0.000 0.000 0.000
Li2 0.246 0.500 0.501
Li3 0.250 0.250 0.000
B1 0.041 0.000 0.736
B2 0.044 0.500 0.746
B3 0.199 0.252 0.240
C1 0.039 0.249 0.258
C2 0.219 0.000 0.758
C3 0.225 0.500 0.769
```

=====

Theoretical X-ray diffraction stick pattern of LiB2C2 for copper Kα, from a cell relaxed with GGA-PBE.
Neutral-atom scattering factors, no anomalous dispersion.

The 10 most intense peaks (10° ≤ 2θ ≤ 90°), sorted by position:
2θ (°)  d [Å]  I_rel
12.07  7.330  6
24.28  3.665  100
25.08  3.550  5
38.42  2.343  10
45.97  1.974  35
49.76  1.833  13
64.56  1.443  2
69.49  1.353  12
74.81  1.269  9
87.40  1.116  4

Crystal structure
```
data_LiB2C2
_space_group_name_H-M_alt 'P -3 1 m'
_space_group_IT_number 162
_space_group_name_Hall '-P 3 2'
_cell_length_a 4.6861
_cell_length_b 4.6861
_cell_length_c 7.3302
_cell_angle_alpha 90.00
_cell_angle_beta 90.00
_cell_angle_gamma 120.00
loop_
_atom_site_label
_atom_site_fract_x
_atom_site_fract_y
_atom_site_fract_z
Li1 0.0000 0.0000 0.0000
Li2 0.3333 0.6667 0.5000
B1 0.0000 0.3333 0.2549
C1 0.0000 0.3334 0.7426
```

=====

Theoretical X-ray diffraction stick pattern of Li5B8C8 for copper Kα, from a cell relaxed with GGA-PBE.
Neutral-atom scattering factors, no anomalous dispersion.

The 10 most intense peaks (10° ≤ 2θ ≤ 90°), sorted by position:
2θ (°)  d [Å]  I_rel
24.43  3.644  100
38.44  2.342  6
45.71  1.985  7
45.83  1.980  7
46.05  1.971  22
46.15  1.967  7
50.07  1.822  15
69.06  1.360  10
69.77  1.348  5
74.46  1.274  3

Crystal structure
```
data_Li5B8C8
_space_group_name_H-M_alt 'P -1'
_space_group_IT_number 2
_cell_length_a 4.725
_cell_length_b 5.392
_cell_length_c 7.776
_cell_angle_alpha 79.89
_cell_angle_beta 72.46
_cell_angle_gamma 89.99
loop_
_space_group_symop_operation_xyz
'x,y,z'
'-x,-y,-z'
loop_
_atom_site_label
_atom_site_fract_x
_atom_site_fract_y
_atom_site_fract_z
Li1 0.000 0.000 0.000
Li2 0.249 0.649 0.498
Li3 0.500 0.259 0.999
B1 0.039 0.688 0.247
B2 0.042 0.188 0.246
B3 0.458 0.060 0.753
B4 0.461 0.564 0.748
C1 0.209 0.437 0.252
C2 0.216 0.940 0.237
C3 0.286 0.811 0.755
C4 0.293 0.313 0.750
```

=====

Theoretical X-ray diffraction stick pattern of Li5B8C8 for copper Kα, from a cell relaxed with GGA-PBE.
Neutral-atom scattering factors, no anomalous dispersion.

The 10 most intense peaks (10° ≤ 2θ ≤ 90°), sorted by position:
2θ (°)  d [Å]  I_rel
24.72  3.601  100
38.21  2.355  6
38.55  2.335  4
45.84  1.980  22
46.28  1.962  14
46.79  1.941  7
50.70  1.801  15
68.85  1.364  5
69.52  1.352  10
89.97  1.091  5

Crystal structure
```
data_Li5B8C8
_space_group_name_H-M_alt 'P 1'
_space_group_IT_number 1
_cell_length_a 5.408
_cell_length_b 5.411
_cell_length_c 7.650
_cell_angle_alpha 70.32
_cell_angle_beta 80.94
_cell_angle_gamma 60.55
loop_
_space_group_symop_operation_xyz
'x,y,z'
loop_
_atom_site_label
_atom_site_fract_x
_atom_site_fract_y
_atom_site_fract_z
Li1 0.000 0.000 0.000
Li2 0.001 0.257 0.499
Li3 0.499 0.250 0.501
Li4 0.503 0.505 0.001
Li5 0.504 0.753 0.499
B1 0.166 0.798 0.739
B2 0.169 0.296 0.755
B3 0.329 0.211 0.236
B4 0.329 0.703 0.260
B5 0.668 0.296 0.748
B6 0.672 0.794 0.754
B7 0.830 0.708 0.245
B8 0.832 0.200 0.260
C1 0.162 0.034 0.257
C2 0.162 0.541 0.242
C3 0.338 0.468 0.742
C4 0.338 0.965 0.747
C5 0.661 0.042 0.242
C6 0.661 0.529 0.268
C7 0.838 0.461 0.757
C8 0.838 0.969 0.741
```

=====

Theoretical X-ray diffraction stick pattern of LiB2C2 for copper Kα, from a cell relaxed with GGA-PBE.
Neutral-atom scattering factors, no anomalous dispersion.

The 10 most intense peaks (10° ≤ 2θ ≤ 90°), sorted by position:
2θ (°)  d [Å]  I_rel
11.24  7.869  10
20.27  4.381  6
23.86  3.729  100
38.28  2.351  6
38.89  2.316  5
45.61  1.989  21
46.14  1.967  13
48.85  1.864  12
70.02  1.344  7
75.15  1.264  6

Crystal structure
```
data_LiB2C2
_space_group_name_H-M_alt 'A m m 2'
_space_group_IT_number 38
_cell_length_a 2.729
_cell_length_b 14.915
_cell_length_c 9.263
_cell_angle_alpha 90.00
_cell_angle_beta 90.00
_cell_angle_gamma 90.00
loop_
_space_group_symop_operation_xyz
'x,y,z'
'-x,-y,z'
'-x,y,z'
'x,-y,z'
'x,y+1/2,z+1/2'
'-x,-y+1/2,z+1/2'
'-x,y+1/2,z+1/2'
'x,-y+1/2,z+1/2'
loop_
_atom_site_label
_atom_site_fract_x
_atom_site_fract_y
_atom_site_fract_z
Li1 0.000 0.123 0.000
Li2 0.500 0.127 0.710
B1 0.000 0.000 0.319
B2 0.000 0.000 0.817
B3 0.000 0.247 0.152
B4 0.500 0.000 0.072
B5 0.500 0.000 0.564
B6 0.500 0.239 0.901
C1 0.000 0.000 0.147
C2 0.000 0.000 0.644
C3 0.000 0.236 0.818
C4 0.500 0.000 0.391
C5 0.500 0.000 0.898
C6 0.500 0.241 0.069
```

=====

Theoretical X-ray diffraction stick pattern of Li5B8C8 for copper Kα, from a cell relaxed with GGA-PBE.
Neutral-atom scattering factors, no anomalous dispersion.

The 10 most intense peaks (10° ≤ 2θ ≤ 90°), sorted by position:
2θ (°)  d [Å]  I_rel
24.71  3.604  100
38.20  2.356  6
38.37  2.346  4
46.03  1.972  28
46.17  1.966  15
50.66  1.802  15
68.94  1.362  5
69.27  1.356  9
74.79  1.269  7
87.02  1.120  4

Crystal structure
```
data_Li5B8C8
_space_group_name_H-M_alt 'P 1 m 1'
_space_group_IT_number 6
_cell_length_a 7.207
_cell_length_b 2.724
_cell_length_c 9.384
_cell_angle_alpha 90.00
_cell_angle_beta 90.02
_cell_angle_gamma 90.00
loop_
_space_group_symop_operation_xyz
'x,y,z'
'x,-y,z'
loop_
_atom_site_label
_atom_site_fract_x
_atom_site_fract_y
_atom_site_fract_z
Li1 0.000 0.000 0.000
Li2 0.001 0.500 0.721
Li3 0.499 0.000 0.979
Li4 0.504 0.500 0.710
Li5 0.509 0.500 0.248
B1 0.247 0.000 0.644
B2 0.251 0.500 0.898
B3 0.253 0.500 0.399
B4 0.257 0.000 0.151
B5 0.742 0.500 0.065
B6 0.752 0.000 0.812
B7 0.760 0.500 0.560
B8 0.768 0.000 0.314
C1 0.247 0.500 0.567
C2 0.248 0.000 0.815
C3 0.257 0.500 0.067
C4 0.262 0.000 0.319
C5 0.741 0.000 0.145
C6 0.747 0.500 0.895
C7 0.756 0.000 0.644
C8 0.769 0.500 0.393
```